Entry 1:
Pr8Sm4Th: theoretical X-ray powder pattern (Cu Ka), based on a DFT-relaxed cell (PBE, Alexandria).
Peak positions follow from Bragg's law for the DFT cell and can differ from measured ones.

Most intense lines, 5 to 70 degrees two-theta, low angle first:
(0 0 3), d 3.951, 2θ 22.50, rel. 24.9
(1 1 3), d 3.293, 2θ 27.07, rel. 20.9
(2 2 0), d 2.980, 2θ 29.98, rel. 100.0
(0 3 3), d 2.595, 2θ 34.56, rel. 11.1
(2 2 3), d 2.379, 2θ 37.81, rel. 38.7
(2 1 4), d 2.360, 2θ 38.13, rel. 10.7
(6 0 0), d 1.721, 2θ 53.24, rel. 20.1
(2 2 6), d 1.647, 2θ 55.83, rel. 17.9
(6 0 3), d 1.578, 2θ 58.51, rel. 10.8
(4 4 0), d 1.490, 2θ 62.31, rel. 12.5

Crystal structure
```
data_Pr8Sm4Th
_space_group_name_H-M_alt 'R -3 m'
_space_group_IT_number 166
_space_group_name_Hall '-R 3 2"'
_cell_length_a 11.9209
_cell_length_b 11.9209
_cell_length_c 11.8541
_cell_angle_alpha 90.00
_cell_angle_beta 90.00
_cell_angle_gamma 120.00
loop_
_atom_site_label
_atom_site_type_symbol
_atom_site_fract_x
_atom_site_fract_y
_atom_site_fract_z
Pr1 Pr 0.0000 0.0000 0.2406
Pr2 Pr 0.0005 0.5002 0.3302
Sm1 Sm 0.0000 0.0000 0.0000
Sm2 Sm 0.0000 0.5000 0.0000
Th1 Th 0.0000 0.0000 0.5000
```

---

Entry 2:
CaCeRuO6: theoretical X-ray powder pattern (Cu Ka), based on a DFT-relaxed cell (PBE, Alexandria).
Peak positions follow from Bragg's law for the DFT cell and can differ from measured ones.

Most intense lines, 5 to 70 degrees two-theta, low angle first:
(0 0 2), d 5.033, 2θ 17.62, rel. 9.8
(1 0 1), d 4.494, 2θ 19.76, rel. 32.9
(1 1 0), d 3.551, 2θ 25.08, rel. 100.0
(1 0 3), d 2.790, 2θ 32.08, rel. 78.4
(2 0 0), d 2.511, 2θ 35.75, rel. 20.4
(2 1 3), d 1.867, 2θ 48.79, rel. 68.4
(2 2 0), d 1.776, 2θ 51.46, rel. 21.0
(3 1 0), d 1.588, 2θ 58.08, rel. 14.7
(1 1 6), d 1.517, 2θ 61.09, rel. 15.1
(3 0 3), d 1.498, 2θ 61.94, rel. 22.2

Crystal structure
```
data_CaCeRuO6
_space_group_name_H-M_alt 'P 42 n m'
_space_group_IT_number 102
_cell_length_a 5.0222
_cell_length_b 5.0222
_cell_length_c 10.0669
_cell_angle_alpha 90.00
_cell_angle_beta 90.00
_cell_angle_gamma 90.00
loop_
_space_group_symop_operation_xyz
'x,y,z'
'-y+1/2,x+1/2,z+1/2'
'-x,-y,z'
'y+1/2,-x+1/2,z+1/2'
'-x+1/2,y+1/2,z+1/2'
'y,x,z'
'x+1/2,-y+1/2,z+1/2'
'-y,-x,z'
loop_
_atom_site_label
_atom_site_type_symbol
_atom_site_fract_x
_atom_site_fract_y
_atom_site_fract_z
Ca1 Ca 0.0000 0.0000 0.0000
Ce1 Ce 0.0000 0.0000 0.6593
Ru1 Ru 0.0000 0.0000 0.3297
O1 O 0.1804 0.1804 0.4750
O2 O 0.1917 0.1917 0.1885
O3 O 0.2301 0.2301 0.8237
```